[1]
Starting from a cell relaxed with PBE, the PXRD pattern of Na2Ga11O17 was simulated for CuKα.
Peak positions follow from Bragg's law for the DFT cell and can differ from measured ones.

The 10 most intense peaks (10° ≤ 2θ ≤ 80°), most intense first:
| Position (°2θ) | d [Å] | intensity | index |
| --- | --- | --- | --- |
| 32.3 | 2.772 | 100 | 1 7 -1 |
| 15.4 | 5.747 | 57 | 0 4 0 |
| 35.0 | 2.567 | 46 | 2 1 -2 |
| 33.8 | 2.652 | 46 | 1 4 1 |
| 38.2 | 2.354 | 39 | 2 6 -1 |
| 56.6 | 1.626 | 35 | 2 11 0 |
| 36.6 | 2.452 | 29 | 2 3 0 |
| 34.8 | 2.576 | 24 | 0 1 2 |
| 54.6 | 1.680 | 22 | 2 7 -3 |
| 29.9 | 2.989 | 22 | 1 0 -2 |

Atomic structure:
Unit cell a=5.9602 b=22.9894 c=5.9737 alpha=90.00 beta=119.82 gamma=90.00
Fractional positions:
Na: 0.1197 0.2500 0.4974
Na: 0.2074 0.7500 0.1391
Na: 0.7926 0.2500 0.8609
Na: 0.8803 0.7500 0.5026
Ga: 0.0000 0.0000 0.5000
Ga: 0.0000 0.5000 0.5000
Ga: 0.1649 0.6090 0.3321
Ga: 0.1649 0.8910 0.3321
Ga: 0.1667 0.6106 0.8334
Ga: 0.1667 0.8894 0.8334
Ga: 0.3336 0.0257 0.1670
Ga: 0.3336 0.4743 0.1670
Ga: 0.3358 0.1752 0.1720
Ga: 0.3358 0.3248 0.1720
Ga: 0.3376 0.1101 0.6706
Ga: 0.3376 0.3899 0.6706
Ga: 0.6624 0.6101 0.3294
Ga: 0.6624 0.8899 0.3294
Ga: 0.6642 0.6752 0.8280
Ga: 0.6642 0.8248 0.8280
Ga: 0.6664 0.5257 0.8330
Ga: 0.6664 0.9743 0.8330
Ga: 0.8333 0.1106 0.1666
Ga: 0.8333 0.3894 0.1666
Ga: 0.8351 0.1090 0.6679
Ga: 0.8351 0.3910 0.6679
O: 0.0034 0.1508 0.5017
O: 0.0034 0.3492 0.5017
O: 0.0141 0.6512 0.0098
O: 0.0141 0.8488 0.0098
O: 0.1568 0.0535 0.3456
O: 0.1574 0.0536 0.8117
O: 0.1568 0.4465 0.3456
O: 0.1574 0.4464 0.8117
O: 0.2502 0.2500 0.1965
O: 0.3107 0.5541 0.6559
O: 0.3107 0.9459 0.6559
O: 0.3347 0.5582 0.1640
O: 0.3347 0.9418 0.1640
O: 0.4863 0.6528 0.4802
O: 0.4863 0.8472 0.4802
O: 0.4906 0.6564 0.0061
O: 0.4906 0.8436 0.0061
O: 0.5094 0.1564 0.9939
O: 0.5094 0.3436 0.9939
O: 0.5137 0.1528 0.5198
O: 0.5137 0.3472 0.5198
O: 0.6653 0.0582 0.8360
O: 0.6653 0.4418 0.8360
O: 0.6893 0.0541 0.3441
O: 0.6893 0.4459 0.3441
O: 0.7498 0.7500 0.8035
O: 0.8426 0.5536 0.1883
O: 0.8432 0.5535 0.6544
O: 0.8426 0.9464 0.1883
O: 0.8432 0.9465 0.6544
O: 0.9859 0.1512 0.9902
O: 0.9859 0.3488 0.9902
O: 0.9966 0.6508 0.4983
O: 0.9966 0.8492 0.4983

=====

[2]
Starting from a cell relaxed with PBE, the PXRD pattern of NaGaO2 was simulated for CuKα.
Peak positions follow from Bragg's law for the DFT cell and can differ from measured ones.

The 10 most intense peaks (10° ≤ 2θ ≤ 80°), most intense first:
| Position (°2θ) | d [Å] | intensity | index |
| --- | --- | --- | --- |
| 33.8 | 2.649 | 100 | 1 2 1 |
| 20.5 | 4.323 | 61 | 0 1 1 |
| 33.2 | 2.695 | 54 | 0 0 2 |
| 20.0 | 4.436 | 53 | 1 1 0 |
| 31.9 | 2.807 | 38 | 2 0 0 |
| 29.4 | 3.042 | 38 | 1 2 0 |
| 59.8 | 1.547 | 34 | 1 2 3 |
| 55.3 | 1.662 | 26 | 3 2 0 |
| 36.1 | 2.490 | 22 | 2 0 1 |
| 66.0 | 1.415 | 22 | 3 2 2 |

Atomic structure:
Unit cell a=5.6138 b=7.2377 c=5.3896 alpha=90.00 beta=90.00 gamma=90.00
Fractional positions:
Na: 0.0703 0.1226 0.0000
Na: 0.4297 0.6226 0.5000
Na: 0.5703 0.3774 0.0000
Na: 0.9297 0.8774 0.5000
Ga: 0.0630 0.6261 0.9864
Ga: 0.4370 0.1261 0.4864
Ga: 0.5630 0.8739 0.9864
Ga: 0.9370 0.3739 0.4864
O: 0.0405 0.5888 0.6430
O: 0.1149 0.1631 0.5675
O: 0.3851 0.6631 0.0675
O: 0.4595 0.0888 0.1430
O: 0.5405 0.9112 0.6430
O: 0.6149 0.3369 0.5675
O: 0.8851 0.8369 0.0675
O: 0.9595 0.4112 0.1430